Calculated powder diffraction line list of Dy3TeBr7 for λ = 1.5418 Å (Cu Kα), from a cell relaxed with GGA-PBE.
Peak positions follow from Bragg's law for the DFT cell and can differ from measured ones.

Cell and atoms:
a = 14.225 Å, b = 8.408 Å, c = 10.182 Å
α = 90.00°, β = 134.30°, γ = 90.00°
Space group Cm (No. 8)
Asymmetric unit:
Dy 0.000 0.000 0.000 (multiplicity 2)
Dy 0.243 0.243 0.487 (multiplicity 4)
Te 0.291 0.000 0.325 (multiplicity 2)
Br 0.011 0.238 0.816 (multiplicity 4)
Br 0.206 0.000 0.640 (multiplicity 2)
Br 0.213 0.500 0.660 (multiplicity 2)
Br 0.273 0.500 0.342 (multiplicity 2)
Br 0.471 0.264 0.167 (multiplicity 4)

Peak list (6 most intense, 5 to 70 degrees two-theta, low angle first)
- 2θ = 12.45°, d = 7.112 Å, rel. 69, (2 0 -1)
- 2θ = 13.66°, d = 6.483 Å, rel. 26, (1 1 -1)
- 2θ = 27.51°, d = 3.242 Å, rel. 100, (2 0 1)
- 2θ = 35.27°, d = 2.545 Å, rel. 66, (4 0 0)
- 2θ = 43.01°, d = 2.103 Å, rel. 37, (0 4 0)
- 2θ = 45.66°, d = 1.987 Å, rel. 30, (6 2 -2)